1.
Rb2GeSbTe4: simulated X-ray powder pattern (Cu Kα (λ = 1.5418 Å)), based on a GGA-PBE-relaxed structure.

Structure:
```
data_Rb2GeSbTe4
_chemical_formula_sum 'Rb4 Ge2 Sb2 Te8'
_space_group_name_H-M_alt 'P 1'
_space_group_IT_number 1
_space_group_name_Hall 'P 1'
_cell_length_a 11.0323
_cell_length_b 9.5311
_cell_length_c 7.3303
_cell_angle_alpha 90.00
_cell_angle_beta 90.00
_cell_angle_gamma 90.00
loop_
_atom_site_label
_atom_site_type_symbol
_atom_site_fract_x
_atom_site_fract_y
_atom_site_fract_z
Rb1 Rb 0.2436 0.1653 0.0000
Rb2 Rb 0.2564 0.8347 0.5000
Rb3 Rb 0.7436 0.8347 0.5000
Rb4 Rb 0.7564 0.1653 0.0000
Ge1 Ge 0.0000 0.3419 0.5340
Ge2 Ge 0.5000 0.6581 0.0340
Sb1 Sb 0.0000 0.6804 0.0378
Sb2 Sb 0.5000 0.3196 0.5378
Te1 Te 0.0000 0.4047 0.8987
Te2 Te 0.0000 0.6127 0.4158
Te3 Te 0.2339 0.2306 0.4943
Te4 Te 0.2661 0.7694 0.9943
Te5 Te 0.5000 0.3873 0.9158
Te6 Te 0.5000 0.5953 0.3987
Te7 Te 0.7339 0.7694 0.9943
Te8 Te 0.7661 0.2306 0.4943
```

Top 12 peaks for 5 to 70 degrees two-theta, by angle:
hkl 0 1 0, 2θ 9.3, I 29
hkl 0 1 1, 2θ 15.2, I 22
hkl 2 1 0, 2θ 18.6, I 100
hkl 0 2 1, 2θ 22.2, I 20
hkl 0 0 2, 2θ 24.3, I 57
hkl 0 3 1, 2θ 30.7, I 50
hkl 0 2 2, 2θ 30.8, I 21
hkl 4 0 0, 2θ 32.5, I 69
hkl 4 0 2, 2θ 41.0, I 51
hkl 0 2 3, 2θ 41.5, I 19
hkl 4 3 1, 2θ 45.3, I 29
hkl 2 5 1, 2θ 52.3, I 17



2.
PuTlGaF6: simulated X-ray powder pattern (Cu Kα (λ = 1.5418 Å)), based on a GGA-PBE-relaxed structure.

Structure:
```
data_PuTlGaF6
_chemical_formula_sum 'Pu1 Tl1 Ga1 F6'
_space_group_name_H-M_alt 'P 1'
_space_group_IT_number 1
_space_group_name_Hall 'P 1'
_cell_length_a 5.2402
_cell_length_b 6.5007
_cell_length_c 6.5150
_cell_angle_alpha 60.09
_cell_angle_beta 89.95
_cell_angle_gamma 89.95
loop_
_atom_site_label
_atom_site_type_symbol
_atom_site_fract_x
_atom_site_fract_y
_atom_site_fract_z
Pu1 Pu 0.0000 0.0000 0.0000
Tl1 Tl 0.4548 0.6668 0.6667
Ga1 Ga 0.9685 0.3329 0.3336
F1 F 0.2176 0.6791 0.0874
F2 F 0.2188 0.0866 0.2328
F3 F 0.2198 0.2313 0.6815
F4 F 0.7750 0.7670 0.3034
F5 F 0.7756 0.9300 0.7662
F6 F 0.7778 0.3057 0.9300
```

Top 12 peaks for 5 to 70 degrees two-theta, by angle:
hkl 0 1 0, 2θ 15.7, I 22
hkl 1 0 1, 2θ 23.2, I 100
hkl 0 2 1, 2θ 27.4, I 49
hkl 1 0 -2, 2θ 36.2, I 34
hkl 2 1 2, 2θ 44.4, I 36
hkl 1 1 3, 2θ 45.9, I 22
hkl -1 3 2, 2θ 46.0, I 11
hkl 0 3 3, 2θ 48.5, I 9
hkl 3 1 0, 2θ 55.0, I 9
hkl 2 0 -3, 2θ 60.6, I 8
hkl -1 1 4, 2θ 61.9, I 8
hkl 3 -1 2, 2θ 69.6, I 7



3.
PrYTmMg: simulated X-ray powder pattern (Cu Kα (λ = 1.5418 Å)), based on a GGA-PBE-relaxed structure.

Structure:
```
data_PrYTmMg
_chemical_formula_sum 'Pr1 Y1 Tm1 Mg1'
_space_group_name_H-M_alt 'P 1'
_space_group_IT_number 1
_space_group_name_Hall 'P 1'
_cell_length_a 3.6940
_cell_length_b 3.6940
_cell_length_c 8.9353
_cell_angle_alpha 90.00
_cell_angle_beta 90.00
_cell_angle_gamma 90.00
loop_
_atom_site_label
_atom_site_type_symbol
_atom_site_fract_x
_atom_site_fract_y
_atom_site_fract_z
Pr1 Pr 0.0000 0.0000 0.0000
Y1 Y 0.5000 0.5000 0.7140
Tm1 Tm 0.5000 0.5000 0.2762
Mg1 Mg 0.0000 0.0000 0.4916
```

Top 12 peaks for 5 to 70 degrees two-theta, by angle:
hkl 0 0 1, 2θ 9.9, I 22
hkl 1 0 1, 2θ 26.1, I 31
hkl 0 0 3, 2θ 30.0, I 12
hkl 1 0 2, 2θ 31.4, I 100
hkl 1 1 0, 2θ 34.3, I 43
hkl 0 0 4, 2θ 40.4, I 10
hkl 1 1 3, 2θ 46.2, I 14
hkl 2 0 0, 2θ 49.3, I 15
hkl 1 1 4, 2θ 54.0, I 16
hkl 1 0 5, 2θ 57.3, I 12
hkl 2 1 2, 2θ 59.7, I 32
hkl 2 0 4, 2θ 65.6, I 9